(1)
Structure and theoretical XRD peak list of HoGa2Co2C (DFT lattice parameters and positions (GGA-PBE); a wavelength of 1.5418 Å).
Kinematic intensities with the Lorentz-polarization factor, no thermal factor.

Cell and atoms:
```
HoGa2Co2C
1.0
3.8632 0.0000 0.0000
0.0000 3.8632 0.0000
0.0000 0.0000 12.4791
Ho Ga Co C
2 4 4 2
Cartesian
0.0000 0.0000 0.0000
1.9316 1.9316 6.2395
0.0000 1.9316 3.1198
0.0000 1.9316 9.3593
1.9316 0.0000 3.1198
1.9316 0.0000 9.3593
0.0000 0.0000 4.5281
0.0000 0.0000 7.9509
1.9316 1.9316 1.7114
1.9316 1.9316 10.7677
0.0000 0.0000 6.2395
1.9316 1.9316 0.0000
```

Main lines, in order of rising 2θ (15° ≤ 2θ ≤ 90°):
2theta  d [Å]  I_rel
28.6  3.120  20
31.6  2.831  100
32.8  2.732  16
35.9  2.502  97
43.2  2.096  26
47.0  1.932  48
55.5  1.655  42
57.8  1.596  35
78.9  1.214  18
80.0  1.199  18

(2)
Structure and theoretical XRD peak list of Zn5Cu2Ni2 (DFT lattice parameters and positions (GGA-PBE); a wavelength of 1.5418 Å).
Kinematic intensities with the Lorentz-polarization factor, no thermal factor.

Cell and atoms:
```
Zn5Cu2Ni2
1.0
6.5087 -3.1682 0.0000
6.5087 3.1682 0.0000
0.0000 0.0000 6.0643
Zn Cu Ni
10 4 4
Cartesian
0.0000 0.0000 0.0000
4.7552 2.1264 4.0302
4.7552 1.0418 0.9981
8.2621 2.1264 4.0302
8.2621 1.0418 0.9981
6.5087 0.0000 3.0321
4.7552 -1.0418 5.0662
4.7552 -2.1264 2.0341
8.2621 -1.0418 5.0662
8.2621 -2.1264 2.0341
2.7486 0.0000 0.0000
3.7600 0.0000 3.0321
9.2573 0.0000 3.0321
10.2687 0.0000 0.0000
6.5087 2.2863 2.2235
6.5087 0.8818 5.2556
6.5087 -0.8818 0.8087
6.5087 -2.2863 3.8408
```

Main lines, in order of rising 2θ (15° ≤ 2θ ≤ 90°):
2theta  d [Å]  I_rel
34.8  2.578  26
38.9  2.314  100
39.7  2.270  41
40.3  2.238  38
40.7  2.218  41
41.2  2.191  42
42.5  2.126  94
46.0  1.972  61
47.7  1.905  51
48.3  1.886  27

(3)
Structure and theoretical XRD peak list of NaPr2WN4 (DFT lattice parameters and positions (GGA-PBE); a wavelength of 1.5418 Å).
Kinematic intensities with the Lorentz-polarization factor, no thermal factor.

Cell and atoms:
```
NaPr2WN4
1.0
5.5788 0.0000 0.0000
0.0000 5.5788 0.0000
0.0000 0.0000 9.5520
Na Pr W N
2 4 2 8
Cartesian
0.0000 0.0000 0.0000
2.7894 2.7894 4.7760
0.0000 2.7894 2.3880
0.0000 2.7894 7.1640
2.7894 0.0000 2.3880
2.7894 0.0000 7.1640
0.0000 0.0000 4.7760
2.7894 2.7894 0.0000
1.1250 1.1250 5.8321
1.1250 4.4538 3.7199
1.6644 1.6644 1.0561
1.6644 3.9144 8.4959
3.9144 1.6644 8.4959
3.9144 3.9144 1.0561
4.4538 1.1250 3.7199
4.4538 4.4538 5.8321
```

Main lines, in order of rising 2θ (15° ≤ 2θ ≤ 90°):
2theta  d [Å]  I_rel
18.4  4.817  37
29.4  3.041  100
32.1  2.789  32
37.3  2.413  11
46.0  1.972  16
50.3  1.814  25
55.5  1.655  33
60.9  1.521  11
63.0  1.476  11
81.4  1.182  11